1.
Starting from a crystal structure in Alexandria, relaxed with PBE, the powder X-ray diffraction pattern of SiPbO3 was simulated for Cu Kα, 1.54184 Å.
No peak broadening, texture or thermal motion is included.

Atomic structure:
```
data_SiPbO3
_space_group_name_H-M_alt 'C 1 c 1'
_space_group_IT_number 9
_cell_length_a 5.7332
_cell_length_b 10.3810
_cell_length_c 5.4740
_cell_angle_alpha 90.00
_cell_angle_beta 90.76
_cell_angle_gamma 90.00
loop_
_space_group_symop_operation_xyz
'x,y,z'
'x,-y,z+1/2'
'x+1/2,y+1/2,z'
'x+1/2,-y+1/2,z+1/2'
loop_
_atom_site_label
_atom_site_type_symbol
_atom_site_fract_x
_atom_site_fract_y
_atom_site_fract_z
Si1 Si 0.0000 0.0356 0.0000
Pb1 Pb 0.0552 0.3392 0.7164
O1 O 0.1606 0.0099 0.7493
O2 O 0.2657 0.4472 0.0039
O3 O 0.4485 0.3110 0.5313
```

The 12 most intense peaks (10 to 90 degrees two-theta), sorted by position:
2θ 17.7, rel. 25, hkl 1 1 0; 2θ 23.6, rel. 100, hkl 0 2 1; 2θ 23.9, rel. 72, hkl 1 1 -1; 2θ 24.2, rel. 82, hkl 1 1 1; 2θ 30.2, rel. 78, hkl 1 3 0; 2θ 31.2, rel. 35, hkl 2 0 0; 2θ 38.4, rel. 24, hkl 0 4 1; 2θ 39.3, rel. 35, hkl 2 2 -1; 2θ 39.7, rel. 22, hkl 2 2 1; 2θ 44.9, rel. 24, hkl 1 3 -2; 2θ 45.3, rel. 21, hkl 1 3 2; 2θ 53.2, rel. 22, hkl 1 1 -3

***

2.
Starting from a crystal structure in Alexandria, relaxed with PBE, the powder X-ray diffraction pattern of Tb2SiPbO6 was simulated for Cu Kα, 1.54184 Å.
No peak broadening, texture or thermal motion is included.

Atomic structure:
```
data_Tb2SiPbO6
_space_group_name_H-M_alt 'P 4 m m'
_space_group_IT_number 99
_cell_length_a 5.3185
_cell_length_b 5.3185
_cell_length_c 5.3564
_cell_angle_alpha 90.00
_cell_angle_beta 90.00
_cell_angle_gamma 90.00
loop_
_space_group_symop_operation_xyz
'x,y,z'
'-y,x,z'
'-x,-y,z'
'y,-x,z'
'-x,y,z'
'y,x,z'
'x,-y,z'
'-y,-x,z'
loop_
_atom_site_label
_atom_site_type_symbol
_atom_site_fract_x
_atom_site_fract_y
_atom_site_fract_z
Tb1 Tb 0.0000 0.5000 0.0000
Si1 Si 0.0000 0.0000 0.6524
Pb1 Pb 0.5000 0.5000 0.5473
O1 O 0.0000 0.0000 0.3409
O2 O 0.2201 0.2201 0.7693
O3 O 0.5000 0.5000 0.1075
```

The 12 most intense peaks (10 to 90 degrees two-theta), sorted by position:
2θ 16.6, rel. 11, hkl 0 0 1; 2θ 16.7, rel. 16, hkl 1 0 0; 2θ 23.6, rel. 15, hkl 1 0 1; 2θ 29.0, rel. 100, hkl 1 1 1; 2θ 33.5, rel. 11, hkl 0 0 2; 2θ 33.7, rel. 33, hkl 2 0 0; 2θ 37.6, rel. 10, hkl 1 0 2; 2θ 48.2, rel. 27, hkl 2 0 2; 2θ 48.4, rel. 18, hkl 2 2 0; 2θ 57.1, rel. 11, hkl 1 1 3; 2θ 57.4, rel. 30, hkl 3 1 1; 2θ 60.1, rel. 9, hkl 2 2 2